Record 1
Simulated powder XRD pattern
Compound: CsEuCl3
Radiation: copper Kα
Structure: a DFT-relaxed cell (GGA-PBE, the Materials Project)

Structure:
```
data_CsEuCl3
_symmetry_space_group_name_H-M 'P m -3 m'
_symmetry_Int_Tables_number 221
_symmetry_space_group_name_Hall '-P 4 2 3'
_cell_length_a 5.683
_cell_length_b 5.683
_cell_length_c 5.683
_cell_angle_alpha 90.00
_cell_angle_beta 90.00
_cell_angle_gamma 90.00
loop_
_atom_site_label
_atom_site_type_symbol
_atom_site_fract_x
_atom_site_fract_y
_atom_site_fract_z
Cs1 Cs 0.000 0.000 0.000
Eu1 Eu 0.500 0.500 0.500
Cl1 Cl 0.000 0.500 0.500
```

Peak list (10 most intense, 10 to 80 degrees two-theta, sorted by position)
| h k l | 2θ/deg | I_rel |
| --- | --- | --- |
| 1 0 0 | 15.59 | 7 |
| 1 1 0 | 22.12 | 100 |
| 2 0 0 | 31.49 | 53 |
| 2 1 1 | 38.82 | 48 |
| 2 2 0 | 45.13 | 37 |
| 3 1 0 | 50.81 | 22 |
| 2 2 2 | 56.06 | 13 |
| 3 2 1 | 61.01 | 26 |
| 4 1 1 | 70.28 | 13 |
| 4 2 0 | 74.70 | 16 |

---

Record 2
Simulated powder XRD pattern
Compound: FePd2N2
Radiation: copper Kα
Structure: a DFT-relaxed cell (GGA-PBE, the Materials Project)

Structure:
```
data_FePd2N2
_symmetry_space_group_name_H-M 'C 1 2/m 1'
_symmetry_Int_Tables_number 12
_symmetry_space_group_name_Hall '-C 2y'
_cell_length_a 4.850
_cell_length_b 2.793
_cell_length_c 8.509
_cell_angle_alpha 90.00
_cell_angle_beta 100.92
_cell_angle_gamma 90.00
loop_
_atom_site_label
_atom_site_type_symbol
_atom_site_fract_x
_atom_site_fract_y
_atom_site_fract_z
Fe1 Fe 0.000 0.000 0.000
Pd1 Pd 0.214 0.000 0.638
N1 N 0.209 0.500 0.126
```

Peak list (10 most intense, 10 to 80 degrees two-theta, sorted by position)
| h k l | 2θ/deg | I_rel |
| --- | --- | --- |
| 0 0 1 | 10.59 | 55 |
| 0 0 3 | 32.14 | 63 |
| 2 0 -1 | 37.30 | 26 |
| 2 0 0 | 37.84 | 58 |
| 1 1 1 | 39.91 | 81 |
| 1 1 -2 | 41.41 | 100 |
| 1 1 2 | 45.20 | 26 |
| 2 0 -4 | 52.55 | 47 |
| 2 0 4 | 64.76 | 39 |
| 3 1 -1 | 66.87 | 24 |